No. 1
VHgI3: calculated PXRD pattern (Cu Kα, 1.54184 Å), based on a DFT-relaxed cell (GGA-PBE, Alexandria).
Intensities are scaled so that the largest is 100.

The 6 most intense peaks (10 to 90 degrees two-theta), sorted by position:
2θ/deg  d [Å]  I_rel
15.59  5.683  30.0
26.67  3.343  100.0
27.01  3.302  33.1
30.99  2.886  97.2
44.17  2.050  32.8
44.61  2.031  35.1

Crystal structure
Lattice parameters (Å, degrees): 10.720 10.720 10.720 38.69 38.69 38.69
Element x y z (fractional)
V (0.167, 0.167, 0.167)
V (0.833, 0.833, 0.833)
Hg (0.339, 0.339, 0.339)
Hg (0.661, 0.661, 0.661)
I (0.078, 0.815, 0.446)
I (0.185, 0.554, 0.922)
I (0.446, 0.078, 0.815)
I (0.554, 0.922, 0.185)
I (0.815, 0.446, 0.078)
I (0.922, 0.185, 0.554)


No. 2
Sr2CaH6Ru: calculated PXRD pattern (Cu Kα, 1.54184 Å), based on a DFT-relaxed cell (GGA-PBE, Alexandria).
Intensities are scaled so that the largest is 100.

The 6 most intense peaks (10 to 90 degrees two-theta), sorted by position:
2θ/deg  d [Å]  I_rel
14.17  6.250  66.1
23.92  3.721  78.1
33.52  2.674  100.0
34.63  2.590  93.4
36.55  2.458  35.6
48.96  1.860  35.8

Crystal structure
Lattice parameters (Å, degrees): 5.347 5.347 6.250 90.00 90.00 120.00
Element x y z (fractional)
Sr (0.333, 0.667, 0.163)
Sr (0.667, 0.333, 0.837)
Ca (0.000, 0.000, 0.500)
H (0.150, 0.300, 0.834)
H (0.150, 0.850, 0.834)
H (0.300, 0.150, 0.166)
H (0.700, 0.850, 0.834)
H (0.850, 0.150, 0.166)
H (0.850, 0.700, 0.166)
Ru (0.000, 0.000, 0.000)


No. 3
CeNd6Sm3: calculated PXRD pattern (Cu Kα, 1.54184 Å), based on a DFT-relaxed cell (GGA-PBE, Alexandria).
Intensities are scaled so that the largest is 100.

The 6 most intense peaks (10 to 90 degrees two-theta), sorted by position:
2θ/deg  d [Å]  I_rel
28.81  3.099  64.0
30.80  2.903  100.0
32.02  2.796  16.8
42.68  2.119  21.3
53.55  1.711  21.3
54.77  1.676  19.0

Crystal structure
Lattice parameters (Å, degrees): 7.014 7.014 7.014 91.59 91.59 91.59
Element x y z (fractional)
Ce (0.000, 0.000, 0.000)
Nd (0.000, 0.320, 0.681)
Nd (0.176, 0.825, 0.500)
Nd (0.320, 0.681, 0.000)
Nd (0.500, 0.176, 0.825)
Nd (0.681, 0.000, 0.320)
Nd (0.825, 0.500, 0.176)
Sm (0.246, 0.246, 0.246)
Sm (0.500, 0.500, 0.500)
Sm (0.755, 0.755, 0.755)


No. 4
AcTb5Sm12: calculated PXRD pattern (Cu Kα, 1.54184 Å), based on a DFT-relaxed cell (GGA-PBE, Alexandria).
Intensities are scaled so that the largest is 100.

The 6 most intense peaks (10 to 90 degrees two-theta), sorted by position:
2θ/deg  d [Å]  I_rel
30.16  2.963  100.0
34.97  2.566  50.7
50.28  1.815  36.3
59.76  1.547  43.2
62.71  1.482  12.4
81.80  1.177  17.6

Crystal structure
Lattice parameters (Å, degrees): 10.893 10.893 5.127 90.00 90.00 90.01
Element x y z (fractional)
Ac (0.000, 0.000, 0.000)
Tb (0.171, 0.171, 0.500)
Tb (0.334, 0.334, 0.000)
Tb (0.500, 0.500, 0.500)
Tb (0.666, 0.666, 0.000)
Tb (0.829, 0.829, 0.500)
Sm (0.001, 0.337, 0.000)
Sm (0.169, 0.499, 0.500)
Sm (0.171, 0.829, 0.500)
Sm (0.335, 0.665, 0.000)
Sm (0.337, 0.001, 0.000)
Sm (0.499, 0.169, 0.500)
Sm (0.501, 0.831, 0.500)
Sm (0.663, 0.999, 0.000)
Sm (0.665, 0.335, 0.000)
Sm (0.829, 0.171, 0.500)
Sm (0.831, 0.501, 0.500)
Sm (0.999, 0.663, 0.000)


No. 5
RbHgB2F8: calculated PXRD pattern (Cu Kα, 1.54184 Å), based on a DFT-relaxed cell (GGA-PBE, Alexandria).
Intensities are scaled so that the largest is 100.

The 6 most intense peaks (10 to 90 degrees two-theta), sorted by position:
2θ/deg  d [Å]  I_rel
20.51  4.331  48.7
24.40  3.648  100.0
33.30  2.691  37.5
36.21  2.481  28.8
39.43  2.285  22.4
40.71  2.216  51.0

Crystal structure
Lattice parameters (Å, degrees): 8.411 8.411 8.411 37.31 37.31 37.31
Element x y z (fractional)
Rb (0.000, 0.000, 0.000)
Hg (0.500, 0.500, 0.500)
B (0.254, 0.254, 0.254)
B (0.746, 0.746, 0.746)
F (0.017, 0.178, 0.506)
F (0.178, 0.506, 0.017)
F (0.314, 0.314, 0.314)
F (0.494, 0.983, 0.822)
F (0.506, 0.017, 0.178)
F (0.686, 0.686, 0.686)
F (0.822, 0.494, 0.983)
F (0.983, 0.822, 0.494)


No. 6
YTa2Cl: calculated PXRD pattern (Cu Kα, 1.54184 Å), based on a DFT-relaxed cell (GGA-PBE, Alexandria).
Intensities are scaled so that the largest is 100.

The 6 most intense peaks (10 to 90 degrees two-theta), sorted by position:
2θ/deg  d [Å]  I_rel
11.53  7.673  100.0
31.17  2.869  32.4
35.72  2.514  53.6
37.94  2.372  71.1
39.21  2.298  37.6
65.41  1.427  18.1

Crystal structure
Lattice parameters (Å, degrees): 3.328 7.866 7.866 25.46 90.00 90.00
Element x y z (fractional)
Y (0.000, 0.000, 0.000)
Ta (0.000, 0.219, 0.219)
Ta (0.500, 0.631, 0.631)
Cl (0.500, 0.368, 0.368)


No. 7
NpB4Ru: calculated PXRD pattern (Cu Kα, 1.54184 Å), based on a DFT-relaxed cell (GGA-PBE, Alexandria).
Intensities are scaled so that the largest is 100.

The 6 most intense peaks (10 to 90 degrees two-theta), sorted by position:
2θ/deg  d [Å]  I_rel
25.45  3.500  74.6
27.43  3.252  25.6
30.80  2.903  87.8
37.76  2.382  26.8
40.37  2.234  100.0
61.91  1.499  33.3

Crystal structure
Lattice parameters (Å, degrees): 5.995 11.612 3.500 90.00 90.00 90.00
Element x y z (fractional)
Np (0.127, 0.150, 0.000)
Np (0.373, 0.650, 0.000)
Np (0.627, 0.350, 0.000)
Np (0.873, 0.850, 0.000)
B (0.028, 0.692, 0.500)
B (0.115, 0.547, 0.500)
B (0.134, 0.968, 0.500)
B (0.213, 0.813, 0.500)
B (0.287, 0.313, 0.500)
B (0.366, 0.468, 0.500)
B (0.385, 0.047, 0.500)
B (0.472, 0.192, 0.500)
B (0.528, 0.808, 0.500)
B (0.615, 0.953, 0.500)
B (0.634, 0.532, 0.500)
B (0.713, 0.687, 0.500)
B (0.787, 0.187, 0.500)
B (0.866, 0.032, 0.500)
B (0.885, 0.453, 0.500)
B (0.972, 0.308, 0.500)
Ru (0.137, 0.408, 0.000)
Ru (0.363, 0.908, 0.000)
Ru (0.637, 0.092, 0.000)
Ru (0.863, 0.592, 0.000)


No. 8
K9Na4Hg: calculated PXRD pattern (Cu Kα, 1.54184 Å), based on a DFT-relaxed cell (GGA-PBE, Alexandria).
Intensities are scaled so that the largest is 100.

The 6 most intense peaks (10 to 90 degrees two-theta), sorted by position:
2θ/deg  d [Å]  I_rel
11.09  7.977  100.0
20.59  4.313  34.0
23.60  3.770  54.4
26.77  3.330  81.0
27.62  3.229  56.7
29.53  3.025  28.8

Crystal structure
Lattice parameters (Å, degrees): 12.101 12.101 12.301 90.00 90.00 120.00
Element x y z (fractional)
K (0.072, 0.536, 0.250)
K (0.203, 0.405, 0.557)
K (0.203, 0.405, 0.943)
K (0.203, 0.797, 0.557)
K (0.203, 0.797, 0.943)
K (0.405, 0.203, 0.057)
K (0.405, 0.203, 0.443)
K (0.464, 0.536, 0.250)
K (0.464, 0.928, 0.250)
K (0.536, 0.072, 0.750)
K (0.536, 0.464, 0.750)
K (0.595, 0.797, 0.557)
K (0.595, 0.797, 0.943)
K (0.797, 0.203, 0.057)
K (0.797, 0.203, 0.443)
K (0.797, 0.595, 0.057)
K (0.797, 0.595, 0.443)
K (0.928, 0.464, 0.750)
Na (0.000, 0.000, 0.000)
Na (0.000, 0.000, 0.500)
Na (0.103, 0.205, 0.250)
Na (0.103, 0.897, 0.250)
Na (0.205, 0.103, 0.750)
Na (0.795, 0.897, 0.250)
Na (0.897, 0.103, 0.750)
Na (0.897, 0.795, 0.750)
Hg (0.333, 0.667, 0.750)
Hg (0.667, 0.333, 0.250)


No. 9
CeEr2Os: calculated PXRD pattern (Cu Kα, 1.54184 Å), based on a DFT-relaxed cell (GGA-PBE, Alexandria).
Intensities are scaled so that the largest is 100.

The 6 most intense peaks (10 to 90 degrees two-theta), sorted by position:
2θ/deg  d [Å]  I_rel
32.15  2.784  46.9
32.32  2.770  38.8
34.52  2.598  100.0
38.29  2.351  32.0
39.06  2.306  28.6
49.01  1.858  27.5

Crystal structure
Lattice parameters (Å, degrees): 7.213 9.298 6.338 90.00 90.00 90.00
Element x y z (fractional)
Ce (0.049, 0.250, 0.144)
Ce (0.451, 0.750, 0.644)
Ce (0.549, 0.250, 0.356)
Ce (0.951, 0.750, 0.856)
Er (0.172, 0.065, 0.668)
Er (0.172, 0.435, 0.668)
Er (0.328, 0.565, 0.168)
Er (0.328, 0.935, 0.168)
Er (0.672, 0.065, 0.832)
Er (0.672, 0.435, 0.832)
Er (0.828, 0.565, 0.332)
Er (0.828, 0.935, 0.332)
Os (0.131, 0.750, 0.472)
Os (0.369, 0.250, 0.972)
Os (0.631, 0.750, 0.028)
Os (0.869, 0.250, 0.528)


No. 10
NaEr2PaS6: calculated PXRD pattern (Cu Kα, 1.54184 Å), based on a DFT-relaxed cell (GGA-PBE, Alexandria).
Intensities are scaled so that the largest is 100.

The 6 most intense peaks (10 to 90 degrees two-theta), sorted by position:
2θ/deg  d [Å]  I_rel
15.57  5.692  57.2
17.64  5.029  61.3
24.26  3.669  83.3
25.81  3.452  97.7
39.07  2.306  100.0
45.51  1.993  50.1

Crystal structure
Lattice parameters (Å, degrees): 7.367 7.367 7.367 55.89 55.89 55.89
Element x y z (fractional)
Na (0.000, 0.000, 0.000)
Er (0.205, 0.205, 0.205)
Er (0.716, 0.716, 0.716)
Pa (0.519, 0.519, 0.519)
S (0.124, 0.428, 0.795)
S (0.342, 0.919, 0.577)
S (0.428, 0.795, 0.124)
S (0.577, 0.342, 0.919)
S (0.795, 0.124, 0.428)
S (0.919, 0.577, 0.342)


No. 11
NpPd8Pb2: calculated PXRD pattern (Cu Kα, 1.54184 Å), based on a DFT-relaxed cell (GGA-PBE, Alexandria).
Intensities are scaled so that the largest is 100.

The 6 most intense peaks (10 to 90 degrees two-theta), sorted by position:
2θ/deg  d [Å]  I_rel
25.73  3.462  27.9
28.48  3.134  41.4
39.08  2.305  78.1
39.42  2.286  29.7
39.54  2.279  100.0
39.75  2.268  68.0

Crystal structure
Lattice parameters (Å, degrees): 5.363 5.418 7.105 97.47 98.15 95.32
Element x y z (fractional)
Np (0.000, 0.000, 0.000)
Pd (0.131, 0.811, 0.605)
Pd (0.138, 0.508, 0.191)
Pd (0.344, 0.040, 0.317)
Pd (0.444, 0.744, 0.966)
Pd (0.556, 0.256, 0.034)
Pd (0.656, 0.960, 0.683)
Pd (0.862, 0.492, 0.809)
Pd (0.869, 0.189, 0.395)
Pb (0.314, 0.347, 0.663)
Pb (0.686, 0.653, 0.337)


No. 12
Ho2B3C: calculated PXRD pattern (Cu Kα, 1.54184 Å), based on a DFT-relaxed cell (GGA-PBE, Alexandria).
Intensities are scaled so that the largest is 100.

The 6 most intense peaks (10 to 90 degrees two-theta), sorted by position:
2θ/deg  d [Å]  I_rel
22.85  3.892  50.3
32.78  2.732  71.1
40.33  2.236  100.0
58.20  1.585  28.6
58.51  1.577  18.0
63.65  1.462  19.9

Crystal structure
Lattice parameters (Å, degrees): 3.154 3.892 5.466 90.00 90.00 90.00
Element x y z (fractional)
Ho (0.000, 0.000, 0.000)
Ho (0.500, 0.000, 0.492)
B (0.000, 0.500, 0.326)
B (0.000, 0.500, 0.668)
B (0.500, 0.500, 0.836)
C (0.500, 0.500, 0.157)


Repeat the eighth record exactly.
K9Na4Hg: calculated PXRD pattern (Cu Kα, 1.54184 Å), based on a DFT-relaxed cell (GGA-PBE, Alexandria).
Intensities are scaled so that the largest is 100.

The 6 most intense peaks (10 to 90 degrees two-theta), sorted by position:
2θ/deg  d [Å]  I_rel
11.09  7.977  100.0
20.59  4.313  34.0
23.60  3.770  54.4
26.77  3.330  81.0
27.62  3.229  56.7
29.53  3.025  28.8

Crystal structure
Lattice parameters (Å, degrees): 12.101 12.101 12.301 90.00 90.00 120.00
Element x y z (fractional)
K (0.072, 0.536, 0.250)
K (0.203, 0.405, 0.557)
K (0.203, 0.405, 0.943)
K (0.203, 0.797, 0.557)
K (0.203, 0.797, 0.943)
K (0.405, 0.203, 0.057)
K (0.405, 0.203, 0.443)
K (0.464, 0.536, 0.250)
K (0.464, 0.928, 0.250)
K (0.536, 0.072, 0.750)
K (0.536, 0.464, 0.750)
K (0.595, 0.797, 0.557)
K (0.595, 0.797, 0.943)
K (0.797, 0.203, 0.057)
K (0.797, 0.203, 0.443)
K (0.797, 0.595, 0.057)
K (0.797, 0.595, 0.443)
K (0.928, 0.464, 0.750)
Na (0.000, 0.000, 0.000)
Na (0.000, 0.000, 0.500)
Na (0.103, 0.205, 0.250)
Na (0.103, 0.897, 0.250)
Na (0.205, 0.103, 0.750)
Na (0.795, 0.897, 0.250)
Na (0.897, 0.103, 0.750)
Na (0.897, 0.795, 0.750)
Hg (0.333, 0.667, 0.750)
Hg (0.667, 0.333, 0.250)